The following is a computed PXRD pattern of Rb6Se2O. It was derived from a crystal structure in Alexandria, relaxed with GGA-PBE, using λ = 1.5418 Å (Cu Kα).
Peak positions follow from Bragg's law for the DFT cell and can differ from measured ones.

Most intense lines, 10° ≤ 2θ ≤ 80°, by intensity:
| 2θ (°) | I (rel.) | index |
| --- | --- | --- |
| 33.19 | 1000 | 0 0 4 |
| 25.81 | 889 | 0 2 2 |
| 28.84 | 694 | 1 2 -3 |
| 27.57 | 565 | 2 1 -3 |
| 29.76 | 554 | 2 0 -4 |
| 25.95 | 416 | 2 1 -2 |

```
data_Rb6Se2O
_cell_length_a 7.4386
_cell_length_b 8.9852
_cell_length_c 12.8514
_cell_angle_alpha 90.00
_cell_angle_beta 122.90
_cell_angle_gamma 90.00
_space_group_name_H-M_alt 'P 1 21/c 1'
_space_group_IT_number 14
_space_group_name_Hall '-P 2ybc'
loop_
_atom_site_label
_atom_site_type_symbol
_atom_site_fract_x
_atom_site_fract_y
_atom_site_fract_z
Rb1 Rb 0.1459 0.1456 0.4506
Rb2 Rb 0.3031 0.7161 0.4468
Rb3 Rb 0.3522 0.0314 0.2605
Se1 Se 0.2214 0.1014 0.7598
O1 O 0.5000 0.0000 0.5000
```

---

The following is a computed PXRD pattern of Y3Ho3Sc. It was derived from a crystal structure in Alexandria, relaxed with GGA-PBE, using λ = 1.5418 Å (Cu Kα).
Peak positions follow from Bragg's law for the DFT cell and can differ from measured ones.

Most intense lines, 10° ≤ 2θ ≤ 80°, by intensity:
| 2θ (°) | I (rel.) | index |
| --- | --- | --- |
| 33.07 | 1000 | 2 1 1 |
| 28.81 | 237 | 2 1 0 |
| 32.11 | 236 | 0 0 2 |
| 61.59 | 217 | 1 4 2 |
| 57.85 | 198 | 2 1 3 |
| 51.04 | 192 | 1 4 0 |

```
data_Y3Ho3Sc
_cell_length_a 9.4688
_cell_length_b 9.4688
_cell_length_c 5.5754
_cell_angle_alpha 90.00
_cell_angle_beta 90.00
_cell_angle_gamma 120.00
_space_group_name_H-M_alt 'P 63/m'
_space_group_IT_number 176
_space_group_name_Hall '-P 6c'
loop_
_atom_site_label
_atom_site_type_symbol
_atom_site_fract_x
_atom_site_fract_y
_atom_site_fract_z
Y1 Y 0.0969 0.4768 0.2500
Ho1 Ho 0.0514 0.2401 0.7500
Sc1 Sc 0.3333 0.6667 0.7500
```

---

The following is a computed PXRD pattern of Cr4TePb. It was derived from a crystal structure in Alexandria, relaxed with GGA-PBE, using λ = 1.5418 Å (Cu Kα).
Peak positions follow from Bragg's law for the DFT cell and can differ from measured ones.

Most intense lines, 10° ≤ 2θ ≤ 80°, by intensity:
| 2θ (°) | I (rel.) | index |
| --- | --- | --- |
| 41.44 | 1000 | 3 1 1 |
| 35.12 | 722 | 2 2 0 |
| 67.32 | 306 | 5 1 1 |
| 63.01 | 270 | 4 2 2 |
| 21.29 | 268 | 1 1 1 |
| 74.23 | 209 | 4 4 0 |

```
data_Cr4TePb
_cell_length_a 7.2269
_cell_length_b 7.2269
_cell_length_c 7.2269
_cell_angle_alpha 90.00
_cell_angle_beta 90.00
_cell_angle_gamma 90.00
_space_group_name_H-M_alt 'F -4 3 m'
_space_group_IT_number 216
_space_group_name_Hall 'F -4 2 3'
loop_
_atom_site_label
_atom_site_type_symbol
_atom_site_fract_x
_atom_site_fract_y
_atom_site_fract_z
Cr1 Cr 0.1243 0.1243 0.3757
Te1 Te 0.2500 0.2500 0.7500
Pb1 Pb 0.0000 0.0000 0.0000
```

---

The following is a computed PXRD pattern of La8GaRh3Br4. It was derived from a crystal structure in Alexandria, relaxed with GGA-PBE, using λ = 1.5418 Å (Cu Kα).
Peak positions follow from Bragg's law for the DFT cell and can differ from measured ones.

Most intense lines, 10° ≤ 2θ ≤ 80°, by intensity:
| 2θ (°) | I (rel.) | index |
| --- | --- | --- |
| 28.53 | 1000 | 0 2 4 |
| 42.32 | 374 | 2 2 0 |
| 39.21 | 300 | 2 0 8 |
| 51.84 | 183 | 4 0 4 |
| 11.32 | 157 | 0 0 3 |
| 69.07 | 150 | 2 4 4 |

```
data_La8GaRh3Br4
_cell_length_a 8.5418
_cell_length_b 8.5418
_cell_length_c 23.4576
_cell_angle_alpha 90.00
_cell_angle_beta 90.00
_cell_angle_gamma 120.00
_space_group_name_H-M_alt 'R -3 m'
_space_group_IT_number 166
_space_group_name_Hall '-R 3 2"'
loop_
_atom_site_label
_atom_site_type_symbol
_atom_site_fract_x
_atom_site_fract_y
_atom_site_fract_z
La1 La 0.0000 0.0000 0.2348
La2 La 0.0139 0.5070 0.7673
Ga1 Ga 0.0000 0.0000 0.5000
Rh1 Rh 0.0000 0.5000 0.5000
Br1 Br 0.0000 0.0000 0.0000
Br2 Br 0.0000 0.5000 0.0000
```